1.
K2WO4: theoretical powder diffraction line list (a wavelength of 1.5418 Å), based on a cell relaxed with PBE+U.
Neutral-atom scattering factors, no anomalous dispersion.

Crystal structure
```
data_K2WO4
_chemical_formula_sum 'K8 W4 O16'
_space_group_name_H-M_alt 'C 1 2/m 1'
_space_group_IT_number 12
_cell_length_a 12.586
_cell_length_b 6.297
_cell_length_c 7.699
_cell_angle_alpha 90.00
_cell_angle_beta 116.27
_cell_angle_gamma 90.00
loop_
_space_group_symop_operation_xyz
'x,y,z'
'-x,-y,-z'
'-x,y,-z'
'x,-y,z'
'x+1/2,y+1/2,z'
'-x+1/2,-y+1/2,-z'
'-x+1/2,y+1/2,-z'
'x+1/2,-y+1/2,z'
loop_
_atom_site_label
_atom_site_fract_x
_atom_site_fract_y
_atom_site_fract_z
K1 0.007 0.000 0.233
K2 0.156 0.500 0.749
W1 0.177 0.500 0.230
O1 0.089 0.500 0.365
O2 0.143 0.264 0.078
O3 0.165 0.000 0.613
```

Largest 10 diffraction maxima, sorted by position, 2θ from 15° to 90°:
| h k l | 2θ/deg | intensity |
| --- | --- | --- |
| 2 0 -1 | 15.3 | 40 |
| 1 1 0 | 16.1 | 28 |
| 1 1 -1 | 18.3 | 93 |
| 1 1 1 | 22.7 | 50 |
| 0 0 2 | 25.8 | 55 |
| 3 1 0 | 27.6 | 100 |
| 0 2 0 | 28.4 | 68 |
| 3 1 -2 | 29.9 | 70 |
| 0 2 2 | 38.7 | 52 |
| 3 1 2 | 45.1 | 32 |

2.
K3W2O7: theoretical powder diffraction line list (a wavelength of 1.5418 Å), based on a cell relaxed with PBE+U.
Neutral-atom scattering factors, no anomalous dispersion.

Crystal structure
```
data_K3W2O7
_chemical_formula_sum 'K6 W4 O14'
_space_group_name_H-M_alt 'C m m m'
_space_group_IT_number 65
_space_group_name_Hall '-C 2 2'
_cell_length_a 4.001
_cell_length_b 22.667
_cell_length_c 3.983
_cell_angle_alpha 90.00
_cell_angle_beta 90.00
_cell_angle_gamma 90.00
loop_
_atom_site_label
_atom_site_fract_x
_atom_site_fract_y
_atom_site_fract_z
K1 0.000 0.000 0.000
K2 0.000 0.181 0.000
W1 0.000 0.410 0.500
O1 0.000 0.087 0.500
O2 0.000 0.328 0.500
O3 0.000 0.413 0.000
O4 0.000 0.500 0.500
```

Largest 10 diffraction maxima, sorted by position, 2θ from 15° to 90°:
| h k l | 2θ/deg | intensity |
| --- | --- | --- |
| 0 4 0 | 15.6 | 64 |
| 0 0 1 | 22.3 | 40 |
| 1 1 0 | 22.6 | 65 |
| 0 6 0 | 23.5 | 27 |
| 0 4 1 | 27.4 | 39 |
| 1 5 0 | 29.8 | 82 |
| 1 1 1 | 32.0 | 100 |
| 0 6 1 | 32.7 | 63 |
| 1 11 1 | 55.2 | 35 |
| 1 5 2 | 55.4 | 29 |